1.
The following is a simulated powder diffractogram of Pu2BePPt6. It was derived from a GGA-PBE-relaxed structure, using Cu Kα, 1.54184 Å.
Intensities are scaled so that the largest is 100.

Most intense lines, 2θ from 10° to 90°, in order of falling intensity:
(2 2 2), 34.4°, I 100
(4 0 0), 40.0°, I 55
(6 2 2), 69.0°, I 41
(4 4 0), 57.8°, I 38
(4 4 4), 72.6°, I 13
(8 0 0), 86.2°, I 6
(2 2 0), 28.0°, I 2
(3 3 1), 43.7°, I 1
(4 2 2), 49.5°, I 1
(7 3 1), 82.0°, I 1

Cell: 9.026 9.026 9.026 Å, 90.00 90.00 90.00°
Space group Fm-3m (No. 225)
Unique sites:
Pu: 0.250 0.250 0.250 x8
Be: 0.000 0.000 0.000 x4
P: 0.000 0.000 0.500 x4
Pt: 0.000 0.000 0.243 x24



2.
The following is a simulated powder diffractogram of BePRh. It was derived from a GGA-PBE-relaxed structure, using Cu Kα, 1.54184 Å.
Intensities are scaled so that the largest is 100.

Most intense lines, 2θ from 10° to 90°, in order of falling intensity:
(1 1 1), 29.5°, I 100
(0 2 2), 48.0°, I 24
(1 3 1), 50.6°, I 21
(2 2 1), 50.1°, I 17
(0 2 0), 28.1°, I 16
(2 0 1), 40.6°, I 15
(2 2 0), 46.0°, I 13
(1 1 0), 22.6°, I 13
(1 1 3), 63.6°, I 11
(1 1 2), 44.7°, I 10

Cell: 5.030 6.350 4.725 Å, 90.00 90.00 90.00°
Space group C222_1 (No. 20)
Unique sites:
Be: 0.000 0.198 0.250 x4
P: 0.000 0.206 0.750 x4
Rh: 0.177 0.500 0.500 x4



3.
The following is a simulated powder diffractogram of Th3BeP2Rh9. It was derived from a GGA-PBE-relaxed structure, using Cu Kα, 1.54184 Å.
Intensities are scaled so that the largest is 100.

Most intense lines, 2θ from 10° to 90°, in order of falling intensity:
(0 2 1), 33.9°, I 100
(2 0 2), 40.9°, I 70
(2 2 0), 55.6°, I 28
(2 2 3), 70.0°, I 23
(0 0 3), 38.9°, I 23
(0 2 4), 62.6°, I 19
(1 1 0), 27.0°, I 14
(4 0 1), 66.8°, I 13
(0 4 2), 71.3°, I 13
(2 0 5), 76.2°, I 11

Cell: 6.6072 6.6072 6.9397 Å, 90.00 90.00 120.00°
Space group P-3m1 (No. 164)
Unique sites:
Th: 0.0000 0.0000 0.0000 x1
Th: 0.3333 0.6667 0.6583 x2
Be: 0.0000 0.0000 0.5000 x1
P: 0.3333 0.6667 0.1925 x2
Rh: 0.0000 0.5000 0.0000 x3
Rh: 0.1544 0.3088 0.3238 x6



4.
The following is a simulated powder diffractogram of BeP2Ru. It was derived from a GGA-PBE-relaxed structure, using Cu Kα, 1.54184 Å.
Intensities are scaled so that the largest is 100.

Most intense lines, 2θ from 10° to 90°, in order of falling intensity:
(0 0 1), 17.6°, I 100
(1 1 0), 40.4°, I 87
(0 1 0), 24.8°, I 52
(0 1 2), 43.9°, I 49
(1 1 2), 54.9°, I 41
(1 1 1), 44.3°, I 38
(0 0 2), 35.7°, I 37
(1 0 2), 48.2°, I 37
(1 0 0), 31.3°, I 29
(0 1 1), 30.6°, I 24

Cell: 2.855 3.591 5.036 Å, 90.00 90.00 90.00°
Space group Pmm2 (No. 25)
Unique sites:
Be: 0.000 0.000 0.000 x1
P: 0.000 0.000 0.511 x1
P: 0.500 0.500 0.133 x1
Ru: 0.500 0.500 0.654 x1



5.
The following is a simulated powder diffractogram of BePS4. It was derived from a GGA-PBE-relaxed structure, using Cu Kα, 1.54184 Å.
Intensities are scaled so that the largest is 100.

Most intense lines, 2θ from 10° to 90°, in order of falling intensity:
(2 0 0), 12.9°, I 100
(3 1 -1), 35.3°, I 32
(0 0 2), 35.1°, I 30
(5 1 -1), 42.4°, I 28
(2 0 2), 42.0°, I 16
(5 1 1), 51.9°, I 13
(3 1 -3), 58.4°, I 11
(4 0 0), 26.0°, I 10
(4 0 -2), 35.5°, I 8
(8 0 -2), 52.6°, I 7

Cell: 14.674 3.174 5.467 Å, 90.00 111.01 90.00°
Space group C2/m (No. 12)
Unique sites:
Be: 0.000 0.000 0.000 x2
P: 0.000 0.500 0.500 x2
S: 0.096 0.500 0.917 x4
S: 0.098 0.000 0.430 x4



6.
The following is a simulated powder diffractogram of BeTl2PS4. It was derived from a GGA-PBE-relaxed structure, using Cu Kα, 1.54184 Å.
Intensities are scaled so that the largest is 100.

Most intense lines, 2θ from 10° to 90°, in order of falling intensity:
(1 0 -1), 22.2°, I 100
(1 1 2), 26.8°, I 88
(0 1 -1), 26.0°, I 86
(0 0 1), 13.0°, I 85
(2 1 1), 32.1°, I 84
(1 1 1), 19.4°, I 81
(1 -1 0), 30.6°, I 68
(0 1 2), 26.6°, I 56
(2 1 0), 32.4°, I 54
(1 2 0), 34.0°, I 48

Cell: 5.667 5.699 7.363 Å, 67.90 78.80 63.02°
Space group P1 (No. 1)
Unique sites:
Be: 0.000 0.000 0.000 x1
Tl: 0.469 0.467 0.488 x1
Tl: 0.758 0.770 0.739 x1
P: 0.343 0.237 0.183 x1
S: 0.007 0.233 0.712 x1
S: 0.032 0.118 0.232 x1
S: 0.274 0.615 0.948 x1
S: 0.664 0.909 0.115 x1



7.
The following is a simulated powder diffractogram of SmBeP. It was derived from a GGA-PBE-relaxed structure, using Cu Kα, 1.54184 Å.
Intensities are scaled so that the largest is 100.

Most intense lines, 2θ from 10° to 90°, in order of falling intensity:
(1 0 1), 35.1°, I 100
(1 0 0), 27.6°, I 57
(0 0 1), 21.2°, I 25
(1 1 0), 48.8°, I 23
(1 0 2), 52.0°, I 20
(2 0 1), 61.5°, I 19
(1 1 2), 67.2°, I 18
(2 1 1), 82.1°, I 17
(1 1 1), 53.7°, I 14
(1 0 3), 73.9°, I 11

Cell: 3.7353 3.7353 4.1882 Å, 90.00 90.00 120.00°
Space group P-6m2 (No. 187)
Unique sites:
Sm: 0.0000 0.0000 0.0000 x1
Be: 0.3333 0.6667 0.5000 x1
P: 0.6667 0.3333 0.5000 x1



8.
The following is a simulated powder diffractogram of BeTlP. It was derived from a GGA-PBE-relaxed structure, using Cu Kα, 1.54184 Å.
Intensities are scaled so that the largest is 100.

Most intense lines, 2θ from 10° to 90°, in order of falling intensity:
(1 0 -1), 26.0°, I 100
(1 0 2), 30.8°, I 84
(1 1 0), 34.5°, I 49
(1 0 4), 45.6°, I 38
(0 0 2), 18.8°, I 37
(1 1 -2), 39.6°, I 27
(2 1 2), 59.6°, I 26
(2 1 -1), 56.9°, I 25
(1 1 3), 45.2°, I 24
(0 0 3), 28.3°, I 23

Cell: 3.673 3.673 9.457 Å, 90.00 90.05 90.00°
Space group P2_1/m (No. 11)
Unique sites:
Be: 0.250 0.250 0.000 x2
Tl: 0.249 0.750 0.683 x2
P: 0.251 0.750 0.134 x2